Theoretical powder XRD pattern
Compound: AlP
Radiation: λ = 1.5418 Å (Cu Kα)
Structure: DFT lattice parameters and positions (GGA-PBE)

Structure:
```
data_AlP
_chemical_formula_sum 'Al4 P4'
_symmetry_space_group_name_H-M 'P 4/m b m'
_symmetry_Int_Tables_number 127
_symmetry_space_group_name_Hall '-P 4 2ab'
_cell_length_a 7.748
_cell_length_b 7.748
_cell_length_c 12.134
_cell_angle_alpha 90.00
_cell_angle_beta 90.00
_cell_angle_gamma 90.00
loop_
_atom_site_label
_atom_site_type_symbol
_atom_site_fract_x
_atom_site_fract_y
_atom_site_fract_z
Al1 Al 0.140 0.360 0.000
P1 P 0.154 0.654 0.000
```

Main lines, low angle first (10 to 90 degrees two-theta):
d = 6.067 Å, I 100.0, (0 0 2)
d = 5.479 Å, I 20.1, (1 1 0)
d = 4.994 Å, I 31.9, (1 1 1)
d = 4.066 Å, I 18.7, (1 1 2)
d = 4.045 Å, I 35.8, (0 0 3)
d = 3.258 Å, I 16.4, (1 1 3)
d = 3.034 Å, I 16.0, (0 0 4)
d = 2.402 Å, I 19.5, (3 1 1)
d = 2.272 Å, I 16.6, (3 1 2)
d = 2.096 Å, I 12.7, (3 1 3)
d = 1.913 Å, I 10.6, (4 0 1)
d = 1.748 Å, I 16.4, (3 3 2)